This entry pairs a crystal structure of PmHoEr3 with its computed powder diffractogram. Radiation: CuKα. Structure: a structure optimized by DFT (PBE).
Kinematic intensities with the Lorentz-polarization factor, no thermal factor.

The 6 most intense peaks (10 to 90 degrees two-theta), low angle first:
(1 0 -3), 2θ 28.53, d 3.129, I = 24
(0 2 0), 2θ 31.86, d 2.809, I = 24
(2 1 -1), 2θ 32.76, d 2.733, I = 100
(2 3 -1), 2θ 57.34, d 1.607, I = 20
(3 2 1), 2θ 60.98, d 1.519, I = 23
(2 1 -6), 2θ 61.53, d 1.507, I = 16

Structural model:
```
data_PmHoEr3
_symmetry_space_group_name_H-M 'P 1'
_symmetry_Int_Tables_number 1
_cell_length_a 6.258
_cell_length_b 5.618
_cell_length_c 9.557
_cell_angle_alpha 90.00
_cell_angle_beta 109.09
_cell_angle_gamma 90.00
loop_
_symmetry_equiv_pos_as_xyz
'x,y,z'
loop_
_atom_site_label
_atom_site_type_symbol
_atom_site_fract_x
_atom_site_fract_y
_atom_site_fract_z
Pm1 Pm 0.068 0.250 0.300
Pm2 Pm 0.932 0.750 0.700
Ho1 Ho 0.467 0.250 0.099
Ho2 Ho 0.533 0.750 0.901
Er1 Er 0.134 0.750 0.099
Er2 Er 0.267 0.250 0.701
Er3 Er 0.336 0.750 0.501
Er4 Er 0.664 0.250 0.499
Er5 Er 0.733 0.750 0.299
Er6 Er 0.866 0.250 0.901
```